The following is a simulated powder diffractogram of NaMgCoF6. It was derived from a cell relaxed with GGA+U, using Cu Kα, 1.54184 Å.

Top 10 peaks for 10° ≤ 2θ ≤ 90°, sorted by position:
| Position (°2θ) | I (rel.) |
| --- | --- |
| 17.94 | 79 |
| 19.97 | 22 |
| 21.92 | 49 |
| 26.97 | 100 |
| 39.55 | 75 |
| 44.69 | 18 |
| 51.31 | 81 |
| 57.95 | 21 |
| 62.67 | 31 |
| 67.55 | 16 |

Cell and atoms:
a b c (Å): 5.1351 5.1351 9.8865
angles (deg): 90.00 90.00 120.00
Space group P-31c (No. 163)
Inequivalent atoms, fractional coordinates:
Na1 0.0000 0.0000 0.0000 [2 per cell]
Mg1 0.3333 0.6667 0.2500 [2 per cell]
Co1 0.3333 0.6667 0.7500 [2 per cell]
F1 0.0211 0.3737 0.6447 [12 per cell]